(1)
# BaSmEuWO6
Calculated powder X-ray diffraction pattern, Cu Ka. Input: a GGA+U-relaxed structure.

Structure:
abc: 5.982 6.028 8.542
angles: 89.63 89.79 89.76
Space group P-1 (No. 2)
Unique sites:
Ba 0.003 0.025 0.251 (multiplicity 2)
Sm 0.000 0.500 0.000 (multiplicity 1)
Sm 0.500 0.000 0.500 (multiplicity 1)
Eu 0.495 0.538 0.246 (multiplicity 2)
W 0.000 0.500 0.500 (multiplicity 1)
W 0.500 0.000 0.000 (multiplicity 1)
O 0.088 0.496 0.734 (multiplicity 2)
O 0.205 0.765 0.468 (multiplicity 2)
O 0.236 0.804 0.027 (multiplicity 2)
O 0.263 0.308 0.453 (multiplicity 2)
O 0.313 0.280 0.049 (multiplicity 2)
O 0.443 0.045 0.766 (multiplicity 2)

Main lines, sorted by position (10° ≤ 2θ ≤ 90°):
2θ 29.53, d 3.025, I = 33, hkl 1 1 2; 2θ 29.68, d 3.010, I = 100, hkl -1 1 2; 2θ 29.75, d 3.003, I = 32, hkl 1 1 -2; 2θ 29.87, d 2.991, I = 33, hkl 2 0 0; 2θ 52.74, d 1.736, I = 33, hkl 3 1 2; 2θ 52.96, d 1.729, I = 22, hkl -3 1 2

(2)
# BaSmEuWO6
Calculated powder X-ray diffraction pattern, Cu Ka. Input: a GGA+U-relaxed structure.

Structure:
abc: 5.936 5.936 8.711
angles: 90.00 90.00 90.00
Space group P-4n2 (No. 118)
Unique sites:
Ba 0.000 0.500 0.250 (multiplicity 2)
Sm 0.000 0.000 0.000 (multiplicity 2)
Eu 0.000 0.500 0.750 (multiplicity 2)
W 0.000 0.000 0.500 (multiplicity 2)
O 0.000 0.000 0.263 (multiplicity 4)
O 0.170 0.293 0.513 (multiplicity 8)

Main lines, sorted by position (10° ≤ 2θ ≤ 90°):
2θ 29.56, d 3.022, I = 100, hkl 1 1 2; 2θ 30.11, d 2.968, I = 53, hkl 2 0 0; 2θ 43.10, d 2.099, I = 25, hkl 2 2 0; 2θ 52.09, d 1.756, I = 23, hkl 2 0 4; 2θ 53.13, d 1.724, I = 43, hkl 3 1 2; 2θ 61.35, d 1.511, I = 17, hkl 2 2 4

(3)
# BaSrEuWO6
Calculated powder X-ray diffraction pattern, Cu Ka. Input: a GGA+U-relaxed structure.

Structure:
abc: 5.995 5.995 8.711
angles: 90.00 90.00 90.00
Space group P-4n2 (No. 118)
Unique sites:
Ba 0.000 0.500 0.250 (multiplicity 2)
Sr 0.000 0.500 0.750 (multiplicity 2)
Eu 0.000 0.000 0.000 (multiplicity 2)
W 0.000 0.000 0.500 (multiplicity 2)
O 0.000 0.000 0.272 (multiplicity 4)
O 0.165 0.284 0.511 (multiplicity 8)

Main lines, sorted by position (10° ≤ 2θ ≤ 90°):
2θ 29.40, d 3.038, I = 100, hkl 1 1 2; 2θ 29.81, d 2.997, I = 54, hkl 2 0 0; 2θ 42.66, d 2.120, I = 26, hkl 2 2 0; 2θ 51.90, d 1.762, I = 23, hkl 2 0 4; 2θ 52.65, d 1.738, I = 44, hkl 3 1 2; 2θ 61.00, d 1.519, I = 17, hkl 2 2 4

(4)
# BaSrEuWO6
Calculated powder X-ray diffraction pattern, Cu Ka. Input: a GGA+U-relaxed structure.

Structure:
abc: 6.015 6.015 8.766
angles: 90.00 90.00 90.00
Space group P42_12 (No. 90)
Unique sites:
Ba 0.000 0.000 0.000 (multiplicity 2)
Sr 0.000 0.500 0.249 (multiplicity 2)
Eu 0.000 0.000 0.500 (multiplicity 2)
W 0.000 0.500 0.740 (multiplicity 2)
O 0.000 0.500 0.518 (multiplicity 2)
O 0.000 0.500 0.968 (multiplicity 2)
O 0.151 0.789 0.738 (multiplicity 8)

Main lines, sorted by position (10° ≤ 2θ ≤ 90°):
2θ 29.26, d 3.052, I = 100, hkl 1 1 2; 2θ 29.70, d 3.008, I = 55, hkl 2 0 0; 2θ 42.51, d 2.127, I = 25, hkl 2 2 0; 2θ 51.60, d 1.771, I = 23, hkl 2 0 4; 2θ 52.44, d 1.745, I = 45, hkl 3 1 2; 2θ 60.68, d 1.526, I = 17, hkl 2 2 4